Structure and simulated powder diffraction line list of Mg6FeNi (the GGA-PBE geometry in Alexandria; Cu Kα).
Peak positions follow from Bragg's law for the DFT cell and can differ from measured ones.

The 12 most intense peaks (5 to 70 degrees two-theta), low angle first:
- (0 0 2), d = 5.344 Å, intensity 24
- (0 1 1), d = 5.164 Å, intensity 49
- (0 2 2), d = 2.582 Å, intensity 41
- (1 1 3), d = 2.559 Å, intensity 11
- (2 0 0), d = 2.353 Å, intensity 45
- (1 0 4), d = 2.324 Å, intensity 72
- (1 2 2), d = 2.264 Å, intensity 100
- (2 1 1), d = 2.142 Å, intensity 10
- (1 1 5), d = 1.848 Å, intensity 10
- (2 2 2), d = 1.739 Å, intensity 23
- (0 2 6), d = 1.525 Å, intensity 15
- (3 0 4), d = 1.353 Å, intensity 12

Cell and atoms:
```
Mg6FeNi
1.0
4.707 0.000 0.000
0.000 5.898 0.000
0.000 0.000 10.687
Mg Fe Ni
12 2 2
Direct
0.000 0.000 0.000
0.000 0.238 0.743
0.000 0.262 0.243
0.000 0.500 0.500
0.000 0.738 0.243
0.000 0.762 0.743
0.500 0.000 0.163
0.500 0.239 0.417
0.500 0.261 0.917
0.500 0.500 0.663
0.500 0.739 0.917
0.500 0.761 0.417
0.500 0.000 0.643
0.500 0.500 0.143
0.000 0.000 0.522
0.000 0.500 0.022
```